InFeB2F8: theoretical PXRD pattern (Cu Ka), based on a cell relaxed with GGA+U.
Lines closer than 0.1° are merged.

Structural model:
abc: 8.3749 8.3749 8.3749
angles: 35.36 35.36 35.36
Positions (direct):
In: 0.0000 0.0000 0.0000
Fe: 0.5000 0.5000 0.5000
B: 0.2439 0.2439 0.2439
B: 0.7561 0.7561 0.7561
F: 0.0411 0.7710 0.5130
F: 0.2290 0.4870 0.9589
F: 0.3048 0.3048 0.3048
F: 0.4870 0.9589 0.2290
F: 0.5130 0.0411 0.7710
F: 0.6952 0.6952 0.6952
F: 0.7710 0.5130 0.0411
F: 0.9589 0.2290 0.4870

Main lines, in order of falling intensity (10° ≤ 2θ ≤ 80°):
2theta	d (Å)	Rel. int.
25.3	3.526	100
42.4	2.134	43
35.3	2.543	27
37.2	2.419	24
21.5	4.125	23
36.7	2.446	19
43.6	2.075	16
41.7	2.165	13
59.5	1.553	12
43.9	2.063	11
57.5	1.602	11
55.8	1.649	11